Diffraction record for LaTb2Pr6Dy. The X-ray diffraction stick pattern is simulated, not measured: it uses the PBE geometry in Alexandria and CuKα.
Intensities are scaled so that the largest is 100.

The 6 most intense peaks (15° ≤ 2θ ≤ 90°), by angle:
2θ (°), I/Imax
27.80, 39.4
29.60, 54.5
29.78, 47.1
30.53, 100.0
30.74, 40.2
32.91, 41.0

Crystal structure
```
20
Lattice="4.6960 -7.7044 0.0000 4.6960 7.7044 0.0000 -1.2989 0.0000 9.7715" Properties=species:S:1:pos:R:3 pbc="T T T"
La 3.7218 7.2851 7.3286
La 4.3713 -7.2851 2.4429
Tb 1.6212 0.7509 5.3546
Tb 2.2707 -0.7509 0.4688
Tb 5.8225 0.7509 9.3027
Tb 6.4719 -0.7509 4.4170
Pr 1.7990 4.2574 6.6964
Pr 4.0094 4.9227 0.5386
Pr 4.7332 4.9227 4.3472
Pr 2.6439 1.6432 8.6170
Pr 5.6447 4.2574 7.9609
Pr 4.7997 1.6432 6.0403
Pr 3.2934 -1.6432 3.7312
Pr 2.4484 -4.2574 1.8106
Pr 5.4492 -1.6432 1.1545
Pr 3.3599 -4.9227 5.4243
Pr 4.0838 -4.9227 9.2329
Pr 6.2941 -4.2574 3.0751
Dy 4.3713 1.3952 2.4429
Dy 3.7218 -1.3952 7.3286
```